Theoretical powder diffractogram of NaAc8Ni5 for copper Kα, from DFT lattice parameters and positions (GGA-PBE).
Kinematic intensities with the Lorentz-polarization factor, no thermal factor.

Crystal structure
```
data_NaAc8Ni5
_chemical_formula_sum 'Na2 Ac16 Ni10'
_cell_length_a 22.2588
_cell_length_b 4.3463
_cell_length_c 10.3983
_cell_angle_alpha 90.00
_cell_angle_beta 103.63
_cell_angle_gamma 90.00
_symmetry_space_group_name_H-M 'C 1 2/m 1'
_symmetry_Int_Tables_number 12
loop_
_symmetry_equiv_pos_as_xyz
'x,y,z'
'-x,-y,-z'
'-x,y,-z'
'x,-y,z'
'x+1/2,y+1/2,z'
'-x+1/2,-y+1/2,-z'
'-x+1/2,y+1/2,-z'
'x+1/2,-y+1/2,z'
loop_
_atom_site_label
_atom_site_type_symbol
_atom_site_fract_x
_atom_site_fract_y
_atom_site_fract_z
_atom_site_occupancy
Na1 Na 0.0000 0.0000 0.0000 1
Ac1 Ac 0.0716 0.0000 0.6577 1
Ac2 Ac 0.0950 0.5000 0.3459 1
Ac3 Ac 0.1742 0.5000 0.9889 1
Ac4 Ac 0.2422 0.5000 0.6625 1
Ni1 Ni 0.0000 0.5000 0.5000 1
Ni2 Ni 0.1657 0.0000 0.5079 1
Ni3 Ni 0.2034 0.0000 0.8225 1
```

The 10 most intense peaks (5° ≤ 2θ ≤ 70°), in order of rising 2θ:
hkl 2 0 0, 8.2 deg, intensity 25
hkl 0 0 1, 8.8 deg, intensity 29
hkl 3 1 1, 26.5 deg, intensity 100
hkl 6 0 -2, 26.8 deg, intensity 34
hkl 3 1 -2, 28.0 deg, intensity 59
hkl 6 0 1, 28.2 deg, intensity 29
hkl 3 1 2, 31.5 deg, intensity 24
hkl 3 1 3, 38.2 deg, intensity 18
hkl 0 2 0, 41.6 deg, intensity 21
hkl 9 1 -1, 42.0 deg, intensity 39

---

Theoretical powder diffractogram of PmMn2Si2Pt7 for copper Kα, from DFT lattice parameters and positions (GGA-PBE).
Kinematic intensities with the Lorentz-polarization factor, no thermal factor.

Crystal structure
```
data_PmMn2Si2Pt7
_chemical_formula_sum 'Pm2 Mn4 Si4 Pt14'
_cell_length_a 5.8223
_cell_length_b 5.7155
_cell_length_c 11.9724
_cell_angle_alpha 90.00
_cell_angle_beta 90.12
_cell_angle_gamma 90.00
_symmetry_space_group_name_H-M 'C 1 2/m 1'
_symmetry_Int_Tables_number 12
loop_
_symmetry_equiv_pos_as_xyz
'x,y,z'
'-x,-y,-z'
'-x,y,-z'
'x,-y,z'
'x+1/2,y+1/2,z'
'-x+1/2,-y+1/2,-z'
'-x+1/2,y+1/2,-z'
'x+1/2,-y+1/2,z'
loop_
_atom_site_label
_atom_site_type_symbol
_atom_site_fract_x
_atom_site_fract_y
_atom_site_fract_z
_atom_site_occupancy
Pm1 Pm 0.0000 0.0000 0.0000 1
Mn1 Mn 0.0011 0.0000 0.3368 1
Si1 Si 0.0007 0.5000 0.3122 1
Pt1 Pt 0.0000 0.5000 0.0000 1
Pt2 Pt 0.2264 0.5000 0.4992 1
Pt3 Pt 0.2505 0.2501 0.1895 1
```

The 10 most intense peaks (5° ≤ 2θ ≤ 70°), in order of rising 2θ:
hkl 0 0 1, 7.4 deg, intensity 21
hkl 0 0 3, 22.3 deg, intensity 26
hkl 0 2 2, 34.8 deg, intensity 74
hkl 2 0 -3, 38.3 deg, intensity 100
hkl 0 2 3, 38.8 deg, intensity 26
hkl 2 2 0, 44.4 deg, intensity 22
hkl 2 2 -1, 45.1 deg, intensity 43
hkl 0 0 6, 45.5 deg, intensity 24
hkl 2 2 2, 47.1 deg, intensity 21
hkl 2 2 5, 59.5 deg, intensity 41